The following is a theoretical powder diffraction line list of BaFeCuF7. It was derived from a DFT-relaxed cell (PBE+U, Alexandria), using Cu Ka.

Structural model:
Lattice parameters (Å, degrees): 7.4630 7.4630 5.7032 110.74 110.74 86.48
Positions (direct):
Ba  0.1809  0.8191  0.5000
Ba  0.8191  0.1809  0.0000
Fe  0.2047  0.4250  0.8548
Fe  0.4250  0.2047  0.3548
Cu  0.5918  0.7871  0.1264
Cu  0.7871  0.5918  0.6264
F  0.0737  0.4636  0.5209
F  0.0854  0.1777  0.7516
F  0.1777  0.0854  0.2516
F  0.3261  0.6921  0.0219
F  0.3282  0.4199  0.2299
F  0.4199  0.3282  0.7299
F  0.4636  0.0737  0.0209
F  0.5394  0.9905  0.4741
F  0.5567  0.7058  0.7475
F  0.6921  0.3261  0.5219
F  0.7058  0.5567  0.2475
F  0.8307  0.9168  0.2278
F  0.9168  0.8307  0.7278
F  0.9905  0.5394  0.9741

Most intense lines, 10 to 90 degrees two-theta, by angle:
24.95°, I 100; 25.43°, I 81; 26.43°, I 83; 29.52°, I 40; 30.56°, I 33; 31.40°, I 37; 38.81°, I 25; 39.97°, I 54; 40.26°, I 31; 41.94°, I 27; 51.86°, I 35; 54.61°, I 29